This entry pairs a crystal structure of Li7Mn5O12 with its theoretical powder X-ray diffraction pattern. Radiation: λ = 1.5418 Å (Cu Kα). Structure: a cell relaxed with GGA+U.

Cell and atoms:
```
Li7Mn5O12
1.0
5.0919 0.0000 0.0000
0.7739 6.3777 0.0000
1.3765 0.5628 6.8749
Li Mn O
7 5 12
Direct
0.0000 0.0000 0.0000
0.2216 0.2507 0.2180
0.2388 0.9199 0.5666
0.2499 0.5871 0.9174
0.7501 0.4129 0.0826
0.7612 0.0801 0.4334
0.7784 0.7493 0.7820
0.0044 0.3277 0.6811
0.4998 0.1638 0.8443
0.5000 0.5000 0.5000
0.5002 0.8362 0.1557
0.9956 0.6723 0.3189
0.1355 0.9420 0.2899
0.1399 0.6076 0.6229
0.1514 0.2843 0.9513
0.3619 0.5598 0.2104
0.3842 0.2101 0.5821
0.3995 0.8812 0.9013
0.6005 0.1188 0.0987
0.6158 0.7899 0.4179
0.6381 0.4402 0.7896
0.8486 0.7157 0.0487
0.8601 0.3924 0.3771
0.8645 0.0580 0.7101
```

Principal peaks in the range 2θ from 10° to 90°, by intensity:
d [Å]  I (rel.)
4.869  100
2.245  35
2.045  27
2.026  27
2.652  14
2.484  12
2.454  12
1.515  8